The following is a calculated XRD peak list of Pm5Ir2Pb2. It was derived from the PBE geometry in Alexandria, using Cu Kα, 1.54184 Å.
Lines closer than 0.1° are merged.

Peak list (8 most intense, 2θ from 5° to 70°, most intense first)
- 38.52°, rel. 1000, (5 1 2)
- 33.87°, rel. 758, (1 3 1)
- 32.76°, rel. 734, (4 2 1)
- 30.37°, rel. 692, (4 2 0)
- 31.20°, rel. 654, (3 1 2)
- 31.90°, rel. 446, (0 2 2)
- 32.07°, rel. 382, (5 1 1)
- 62.43°, rel. 282, (9 3 1)

Structure:
```
data_Pm5Ir2Pb2
_space_group_name_H-M_alt 'C m c e'
_space_group_IT_number 64
_space_group_name_Hall '-C 2ac 2'
_cell_length_a 16.0861
_cell_length_b 8.6401
_cell_length_c 7.3784
_cell_angle_alpha 90.00
_cell_angle_beta 90.00
_cell_angle_gamma 90.00
loop_
_atom_site_label
_atom_site_type_symbol
_atom_site_fract_x
_atom_site_fract_y
_atom_site_fract_z
Pm1 Pm 0.0000 0.0000 0.0000
Pm2 Pm 0.1181 0.1811 0.3478
Ir1 Ir 0.0000 0.1222 0.6331
Pb1 Pb 0.2150 0.0000 0.0000
```

***

The following is a calculated XRD peak list of Pr7Ir2Pb2. It was derived from the PBE geometry in Alexandria, using Cu Kα, 1.54184 Å.
Lines closer than 0.1° are merged.

Peak list (8 most intense, 2θ from 5° to 70°, most intense first)
- 35.65°, rel. 1000, (2 2 2)
- 31.33°, rel. 557, (0 4 0)
- 23.92°, rel. 516, (2 0 1)
- 19.63°, rel. 442, (0 2 1)
- 35.39°, rel. 390, (1 3 2)
- 27.36°, rel. 301, (1 1 2)
- 39.79°, rel. 293, (2 4 1)
- 41.26°, rel. 207, (3 3 1)

Structure:
```
data_Pr7Ir2Pb2
_space_group_name_H-M_alt 'C m m m'
_space_group_IT_number 65
_space_group_name_Hall '-C 2 2'
_cell_length_a 8.6031
_cell_length_b 11.4210
_cell_length_c 7.4061
_cell_angle_alpha 90.00
_cell_angle_beta 90.00
_cell_angle_gamma 90.00
loop_
_atom_site_label
_atom_site_type_symbol
_atom_site_fract_x
_atom_site_fract_y
_atom_site_fract_z
Pr1 Pr 0.0000 0.0000 0.0000
Pr2 Pr 0.0000 0.5000 0.2330
Pr3 Pr 0.2500 0.2500 0.2464
Ir1 Ir 0.0000 0.2836 0.0000
Pb1 Pb 0.1817 0.0000 0.5000
```

***

The following is a calculated XRD peak list of IrPt2Pb. It was derived from the PBE geometry in Alexandria, using Cu Kα, 1.54184 Å.
Lines closer than 0.1° are merged.

Peak list (5 most intense, 2θ from 5° to 70°, most intense first)
- 38.05°, rel. 1000, (1 1 2)
- 42.96°, rel. 358, (2 0 0)
- 65.28°, rel. 211, (2 0 4)
- 46.66°, rel. 142, (0 0 4)
- 62.37°, rel. 121, (2 2 0)

Structure:
```
data_IrPt2Pb
_space_group_name_H-M_alt 'I -4 m 2'
_space_group_IT_number 119
_space_group_name_Hall 'I -4 -2'
_cell_length_a 4.2108
_cell_length_b 4.2108
_cell_length_c 7.7859
_cell_angle_alpha 90.00
_cell_angle_beta 90.00
_cell_angle_gamma 90.00
loop_
_atom_site_label
_atom_site_type_symbol
_atom_site_fract_x
_atom_site_fract_y
_atom_site_fract_z
Ir1 Ir 0.0000 0.0000 0.0000
Pt1 Pt 0.0000 0.0000 0.5000
Pt2 Pt 0.0000 0.5000 0.2500
Pb1 Pb 0.0000 0.5000 0.7500
```

***

The following is a calculated XRD peak list of IrPbS2. It was derived from the PBE geometry in Alexandria, using Cu Kα, 1.54184 Å.
Lines closer than 0.1° are merged.

Peak list (8 most intense, 2θ from 5° to 70°, most intense first)
- 29.66°, rel. 1000, (0 1 2)
- 21.52°, rel. 655, (0 0 6)
- 41.17°, rel. 547, (0 1 8)
- 32.25°, rel. 544, (1 0 4)
- 55.92°, rel. 318, (1 1 6)
- 46.92°, rel. 316, (1 0 10)
- 50.94°, rel. 298, (1 1 0)
- 60.06°, rel. 140, (2 0 2)

Structure:
```
data_IrPbS2
_space_group_name_H-M_alt 'R -3 m'
_space_group_IT_number 166
_space_group_name_Hall '-R 3 2"'
_cell_length_a 3.5855
_cell_length_b 3.5855
_cell_length_c 24.7703
_cell_angle_alpha 90.00
_cell_angle_beta 90.00
_cell_angle_gamma 120.00
loop_
_atom_site_label
_atom_site_type_symbol
_atom_site_fract_x
_atom_site_fract_y
_atom_site_fract_z
Ir1 Ir 0.0000 0.0000 0.0000
Pb1 Pb 0.0000 0.0000 0.5000
S1 S 0.0000 0.0000 0.3807
```

***

The following is a calculated XRD peak list of SrIr2PbS. It was derived from the PBE geometry in Alexandria, using Cu Kα, 1.54184 Å.
Lines closer than 0.1° are merged.

Peak list (8 most intense, 2θ from 5° to 70°, most intense first)
- 29.61°, rel. 1000, (1 1 1)
- 34.90°, rel. 581, (2 0 0)
- 48.89°, rel. 451, (2 0 2)
- 23.88°, rel. 406, (1 0 1)
- 33.15°, rel. 333, (0 0 2)
- 59.35°, rel. 288, (3 1 1)
- 61.47°, rel. 229, (2 2 2)
- 50.18°, rel. 209, (2 2 0)

Structure:
```
data_SrIr2PbS
_space_group_name_H-M_alt 'P 4/m m m'
_space_group_IT_number 123
_space_group_name_Hall '-P 4 2'
_cell_length_a 5.1421
_cell_length_b 5.1421
_cell_length_c 5.4055
_cell_angle_alpha 90.00
_cell_angle_beta 90.00
_cell_angle_gamma 90.00
loop_
_atom_site_label
_atom_site_type_symbol
_atom_site_fract_x
_atom_site_fract_y
_atom_site_fract_z
Sr1 Sr 0.0000 0.0000 0.0000
Ir1 Ir 0.0000 0.5000 0.0000
Pb1 Pb 0.5000 0.5000 0.5000
S1 S 0.0000 0.0000 0.5000
```

***

The following is a calculated XRD peak list of TcIrPb2S. It was derived from the PBE geometry in Alexandria, using Cu Kα, 1.54184 Å.
Lines closer than 0.1° are merged.

Peak list (8 most intense, 2θ from 5° to 70°, most intense first)
- 31.43°, rel. 1000, (1 1 1)
- 33.85°, rel. 499, (2 0 0)
- 59.05°, rel. 344, (3 1 1)
- 54.36°, rel. 262, (2 0 2)
- 48.62°, rel. 182, (2 2 0)
- 65.59°, rel. 150, (2 2 2)
- 41.22°, rel. 146, (0 0 2)
- 69.04°, rel. 109, (1 1 3)

Structure:
```
data_TcIrPb2S
_space_group_name_H-M_alt 'P 4/m m m'
_space_group_IT_number 123
_space_group_name_Hall '-P 4 2'
_cell_length_a 5.2965
_cell_length_b 5.2965
_cell_length_c 4.3803
_cell_angle_alpha 90.00
_cell_angle_beta 90.00
_cell_angle_gamma 90.00
loop_
_atom_site_label
_atom_site_type_symbol
_atom_site_fract_x
_atom_site_fract_y
_atom_site_fract_z
Tc1 Tc 0.0000 0.0000 0.0000
Ir1 Ir 0.5000 0.5000 0.0000
Pb1 Pb 0.0000 0.5000 0.5000
S1 S 0.0000 0.0000 0.5000
```

***

The following is a calculated XRD peak list of Sr8IrPb2. It was derived from the PBE geometry in Alexandria, using Cu Kα, 1.54184 Å.
Lines closer than 0.1° are merged.

Peak list (8 most intense, 2θ from 5° to 70°, most intense first)
- 30.61°, rel. 1000, (1 1 2)
- 31.16°, rel. 987, (0 2 0)
- 27.89°, rel. 948, (5 1 0)
- 32.32°, rel. 905, (5 1 -2)
- 19.37°, rel. 538, (1 1 -1)
- 17.36°, rel. 504, (2 0 1)
- 34.91°, rel. 495, (7 1 -1)
- 20.76°, rel. 362, (3 1 0)

Structure:
```
data_Sr8IrPb2
_space_group_name_H-M_alt 'C 1 2/m 1'
_space_group_IT_number 12
_space_group_name_Hall '-C 2y'
_cell_length_a 20.1806
_cell_length_b 5.7414
_cell_length_c 7.6295
_cell_angle_alpha 90.00
_cell_angle_beta 107.55
_cell_angle_gamma 90.00
loop_
_atom_site_label
_atom_site_type_symbol
_atom_site_fract_x
_atom_site_fract_y
_atom_site_fract_z
Sr1 Sr 0.0233 0.0000 0.2997
Sr2 Sr 0.0918 0.5000 0.9072
Sr3 Sr 0.1443 0.5000 0.4434
Sr4 Sr 0.2094 0.0000 0.7881
Ir1 Ir 0.0000 0.5000 0.5000
Pb1 Pb 0.1850 0.0000 0.2133
```

***

The following is a calculated XRD peak list of Tb4IrPb2. It was derived from the PBE geometry in Alexandria, using Cu Kα, 1.54184 Å.
Lines closer than 0.1° are merged.

Peak list (8 most intense, 2θ from 5° to 70°, most intense first)
- 34.67°, rel. 1000, (0 2 2)
- 31.50°, rel. 762, (2 1 -2)
- 30.53°, rel. 749, (2 0 1)
- 32.98°, rel. 665, (1 2 1)
- 41.09°, rel. 635, (3 1 -2)
- 36.80°, rel. 590, (2 2 -1)
- 35.29°, rel. 558, (2 0 -3)
- 26.82°, rel. 533, (0 2 0)

Structure:
```
data_Tb4IrPb2
_space_group_name_H-M_alt 'P 1 21/m 1'
_space_group_IT_number 11
_space_group_name_Hall '-P 2yb'
_cell_length_a 7.2757
_cell_length_b 6.6483
_cell_length_c 8.6167
_cell_angle_alpha 90.00
_cell_angle_beta 106.53
_cell_angle_gamma 90.00
loop_
_atom_site_label
_atom_site_type_symbol
_atom_site_fract_x
_atom_site_fract_y
_atom_site_fract_z
Tb1 Tb 0.1361 0.0067 0.2907
Tb2 Tb 0.2928 0.7500 0.6600
Tb3 Tb 0.3107 0.2500 0.9112
Ir1 Ir 0.0755 0.2500 0.5791
Pb1 Pb 0.2056 0.7500 0.9905
Pb2 Pb 0.4643 0.2500 0.5883
```

***

The following is a calculated XRD peak list of TcIrPb2. It was derived from the PBE geometry in Alexandria, using Cu Kα, 1.54184 Å.
Lines closer than 0.1° are merged.

Peak list (8 most intense, 2θ from 5° to 70°, most intense first)
- 37.76°, rel. 1000, (2 2 0)
- 68.17°, rel. 362, (4 2 2)
- 54.46°, rel. 176, (4 0 0)
- 22.86°, rel. 36, (1 1 1)
- 26.45°, rel. 35, (2 0 0)
- 44.59°, rel. 21, (3 1 1)
- 61.54°, rel. 16, (4 2 0)
- 46.69°, rel. 11, (2 2 2)

Structure:
```
data_TcIrPb2
_space_group_name_H-M_alt 'F m -3 m'
_space_group_IT_number 225
_space_group_name_Hall '-F 4 2 3'
_cell_length_a 6.7390
_cell_length_b 6.7390
_cell_length_c 6.7390
_cell_angle_alpha 90.00
_cell_angle_beta 90.00
_cell_angle_gamma 90.00
loop_
_atom_site_label
_atom_site_type_symbol
_atom_site_fract_x
_atom_site_fract_y
_atom_site_fract_z
Tc1 Tc 0.0000 0.0000 0.0000
Ir1 Ir 0.0000 0.0000 0.5000
Pb1 Pb 0.2500 0.2500 0.2500
```

***

The following is a calculated XRD peak list of Th5IrPb2. It was derived from the PBE geometry in Alexandria, using Cu Kα, 1.54184 Å.
Lines closer than 0.1° are merged.

Peak list (8 most intense, 2θ from 5° to 70°, most intense first)
- 32.04°, rel. 1000, (2 0 0)
- 30.18°, rel. 962, (0 4 3)
- 16.83°, rel. 862, (1 1 0)
- 32.46°, rel. 745, (1 5 0)
- 11.16°, rel. 743, (0 2 0)
- 44.59°, rel. 677, (2 4 3)
- 31.72°, rel. 648, (1 1 4)
- 35.17°, rel. 458, (0 4 4)

Structure:
```
data_Th5IrPb2
_space_group_name_H-M_alt 'C m c m'
_space_group_IT_number 63
_space_group_name_Hall '-C 2c 2'
_cell_length_a 5.5869
_cell_length_b 15.8583
_cell_length_c 13.3577
_cell_angle_alpha 90.00
_cell_angle_beta 90.00
_cell_angle_gamma 90.00
loop_
_atom_site_label
_atom_site_type_symbol
_atom_site_fract_x
_atom_site_fract_y
_atom_site_fract_z
Th1 Th 0.0000 0.0777 0.0977
Th2 Th 0.0000 0.2982 0.0383
Th3 Th 0.0000 0.3130 0.7500
Ir1 Ir 0.0000 0.1960 0.2500
Pb1 Pb 0.0000 0.1281 0.6338
```

***

The following is a calculated XRD peak list of Th2IrPb. It was derived from the PBE geometry in Alexandria, using Cu Kα, 1.54184 Å.
Lines closer than 0.1° are merged.

Peak list (8 most intense, 2θ from 5° to 70°, most intense first)
- 28.99°, rel. 1000, (2 0 -2)
- 44.18°, rel. 244, (3 1 -1)
- 38.54°, rel. 223, (1 1 -3)
- 44.45°, rel. 143, (0 2 0)
- 53.91°, rel. 123, (2 2 -2)
- 38.34°, rel. 111, (2 0 2)
- 10.65°, rel. 99, (0 0 1)
- 35.75°, rel. 86, (1 1 2)

Structure:
```
data_Th2IrPb
_space_group_name_H-M_alt 'C 1 2/m 1'
_space_group_IT_number 12
_space_group_name_Hall '-C 2y'
_cell_length_a 7.1150
_cell_length_b 4.0767
_cell_length_c 8.6305
_cell_angle_alpha 90.00
_cell_angle_beta 105.76
_cell_angle_gamma 90.00
loop_
_atom_site_label
_atom_site_type_symbol
_atom_site_fract_x
_atom_site_fract_y
_atom_site_fract_z
Th1 Th 0.2308 0.0000 0.1950
Ir1 Ir 0.0000 0.5000 0.0000
Pb1 Pb 0.0000 0.0000 0.5000
```

***

The following is a calculated XRD peak list of TiIrPb3. It was derived from the PBE geometry in Alexandria, using Cu Kα, 1.54184 Å.
Lines closer than 0.1° are merged.

Peak list (8 most intense, 2θ from 5° to 70°, most intense first)
- 33.97°, rel. 1000, (2 0 0)
- 16.80°, rel. 883, (1 0 0)
- 48.80°, rel. 733, (2 2 0)
- 29.30°, rel. 603, (1 1 1)
- 38.12°, rel. 488, (2 1 0)
- 57.94°, rel. 273, (3 1 1)
- 51.97°, rel. 258, (3 0 0)
- 60.78°, rel. 255, (2 2 2)

Structure:
```
data_TiIrPb3
_space_group_name_H-M_alt 'P m -3 m'
_space_group_IT_number 221
_space_group_name_Hall '-P 4 2 3'
_cell_length_a 5.2788
_cell_length_b 5.2788
_cell_length_c 5.2788
_cell_angle_alpha 90.00
_cell_angle_beta 90.00
_cell_angle_gamma 90.00
loop_
_atom_site_label
_atom_site_type_symbol
_atom_site_fract_x
_atom_site_fract_y
_atom_site_fract_z
Ti1 Ti 0.0000 0.0000 0.0000
Ir1 Ir 0.5000 0.5000 0.5000
Pb1 Pb 0.0000 0.5000 0.5000
```